Structure and computed X-ray diffraction stick pattern of Ni5Mo (a crystal structure in Alexandria, relaxed with GGA-PBE; λ = 1.5418 Å (Cu Kα)).

```
data_Ni5Mo
_chemical_formula_sum 'Ni10 Mo2'
_space_group_name_H-M_alt 'C m m m'
_space_group_IT_number 65
_space_group_name_Hall '-C 2 2'
_cell_length_a 3.6039
_cell_length_b 10.6899
_cell_length_c 3.6164
_cell_angle_alpha 90.00
_cell_angle_beta 90.00
_cell_angle_gamma 90.00
loop_
_atom_site_label
_atom_site_fract_x
_atom_site_fract_y
_atom_site_fract_z
Ni1 0.0000 0.0000 0.0000
Ni2 0.0000 0.1639 0.5000
Ni3 0.0000 0.3322 0.0000
Mo1 0.0000 0.5000 0.5000
```

Top 6 peaks for 2θ = 10–90°, low angle first:
index	two_theta	Rel. int.
1 3 1	43.6	1000
0 0 2	50.5	159
2 0 0	50.7	157
0 6 0	51.3	151
2 0 2	74.3	93
0 6 2	74.8	91